# Rb5MoCl2O4
Simulated X-ray powder pattern, Cu Kα (λ = 1.5418 Å). Input: a structure optimized by DFT (GGA+U).

Structural model:
Cell lengths 8.804, 10.722, 6.983 Å; angles 90.00, 90.00, 90.00 degrees
Space group Amm2 (No. 38)
One atom of each set of equivalent atoms:
Rb  0.000  0.000  0.000 [2 per cell]
Rb  0.293  0.181  0.401 [8 per cell]
Mo  0.500  0.000  0.916 [2 per cell]
Cl  0.000  0.203  0.667 [4 per cell]
O  0.332  0.000  0.084 [4 per cell]
O  0.500  0.139  0.750 [4 per cell]

Top 10 peaks for 2θ = 15–90°, by intensity:
2theta	I_rel	(hkl)
28.05	100.0	0 3 1
25.32	86.1	2 1 1
36.89	56.3	2 2 2
26.19	37.2	2 2 0
25.51	32.1	0 0 2
49.02	25.4	2 5 1
34.81	22.8	3 2 0
30.49	21.4	3 0 0
27.48	18.9	1 0 2
41.88	16.0	3 3 1